# 1
Simulated PXRD pattern of CaPm6Tm12 for Cu Kα X-rays, from a DFT-relaxed cell (PBE, Alexandria).

Structural model:
Cell: 9.2526 9.2526 9.2526 Å, 106.51 106.51 106.51°
Fractional coordinates of all 19 atoms:
Ca1 0.0000 0.0000 0.0000
Pm1 0.2943 0.6876 0.6876
Pm2 0.3124 0.3124 0.7057
Pm3 0.3124 0.7057 0.3124
Pm4 0.6876 0.2943 0.6876
Pm5 0.6876 0.6876 0.2943
Pm6 0.7057 0.3124 0.3124
Tm1 0.0996 0.3373 0.3373
Tm2 0.1125 0.5000 0.8875
Tm3 0.1125 0.8875 0.5000
Tm4 0.3373 0.0996 0.3373
Tm5 0.3373 0.3373 0.0996
Tm6 0.5000 0.1125 0.8875
Tm7 0.5000 0.8875 0.1125
Tm8 0.6627 0.6627 0.9004
Tm9 0.6627 0.9004 0.6627
Tm10 0.8875 0.1125 0.5000
Tm11 0.8875 0.5000 0.1125
Tm12 0.9004 0.6627 0.6627

The 8 most intense peaks (10° ≤ 2θ ≤ 90°), sorted by position:
| two_theta | I_rel |
| --- | --- |
| 26.42 | 62 |
| 28.13 | 25 |
| 31.53 | 100 |
| 33.00 | 67 |
| 34.90 | 63 |
| 36.90 | 27 |
| 39.02 | 36 |
| 61.62 | 32 |

=====

# 2
Simulated PXRD pattern of CaPm2Tm for Cu Kα X-rays, from a DFT-relaxed cell (PBE, Alexandria).

Structural model:
Cell: 5.2210 5.2210 5.0144 Å, 90.00 90.00 90.00°
Fractional coordinates of all 4 atoms:
Ca1 0.0000 0.0000 0.0000
Pm1 0.0000 0.5000 0.5000
Pm2 0.5000 0.0000 0.5000
Tm1 0.5000 0.5000 0.0000

The 8 most intense peaks (10° ≤ 2θ ≤ 90°), sorted by position:
| two_theta | I_rel |
| --- | --- |
| 30.06 | 100 |
| 34.35 | 35 |
| 35.82 | 16 |
| 49.37 | 13 |
| 50.47 | 23 |
| 58.89 | 29 |
| 60.83 | 13 |
| 62.48 | 12 |

=====

# 3
Simulated PXRD pattern of CaPm14Tm for Cu Kα X-rays, from a DFT-relaxed cell (PBE, Alexandria).

Structural model:
Cell: 11.3205 7.0804 7.0804 Å, 75.77 90.00 90.00°
Fractional coordinates of all 16 atoms:
Ca1 0.0000 0.0000 0.0000
Pm1 0.0000 0.5152 0.9303
Pm2 0.0000 0.9303 0.5152
Pm3 0.2319 0.2275 0.2275
Pm4 0.2563 0.1506 0.7222
Pm5 0.2563 0.7222 0.1506
Pm6 0.2615 0.6561 0.6561
Pm7 0.5000 0.3594 0.9537
Pm8 0.5000 0.4406 0.4406
Pm9 0.5000 0.8632 0.8632
Pm10 0.5000 0.9537 0.3594
Pm11 0.7385 0.6561 0.6561
Pm12 0.7437 0.1506 0.7222
Pm13 0.7437 0.7222 0.1506
Pm14 0.7681 0.2275 0.2275
Tm1 0.0000 0.4459 0.4459

The 8 most intense peaks (10° ≤ 2θ ≤ 90°), sorted by position:
| two_theta | I_rel |
| --- | --- |
| 30.47 | 100 |
| 31.61 | 25 |
| 32.03 | 13 |
| 41.54 | 7 |
| 45.63 | 9 |
| 51.64 | 8 |
| 55.59 | 17 |
| 61.82 | 8 |

=====

# 4
Simulated PXRD pattern of CaPmTm for Cu Kα X-rays, from a DFT-relaxed cell (PBE, Alexandria).

Structural model:
Cell: 3.6332 3.6332 9.1008 Å, 90.00 90.00 120.00°
Fractional coordinates of all 3 atoms:
Ca1 0.0000 0.0000 0.0000
Pm1 0.3333 0.6667 0.6442
Tm1 0.6667 0.3333 0.3403

The 8 most intense peaks (10° ≤ 2θ ≤ 90°), sorted by position:
| two_theta | I_rel |
| --- | --- |
| 29.44 | 31 |
| 30.05 | 100 |
| 34.66 | 76 |
| 49.43 | 21 |
| 50.22 | 22 |
| 58.60 | 19 |
| 59.29 | 25 |
| 59.64 | 14 |

=====

# 5
Simulated PXRD pattern of Ca2Pm2Tm for Cu Kα X-rays, from a DFT-relaxed cell (PBE, Alexandria).

Structural model:
Cell: 3.6666 3.6666 15.4062 Å, 90.00 90.00 120.00°
Fractional coordinates of all 5 atoms:
Ca1 0.3333 0.6667 0.1075
Ca2 0.6667 0.3333 0.8925
Pm1 0.3333 0.6667 0.6830
Pm2 0.6667 0.3333 0.3170
Tm1 0.0000 0.0000 0.5000

The 8 most intense peaks (10° ≤ 2θ ≤ 90°), sorted by position:
| two_theta | I_rel |
| --- | --- |
| 28.70 | 47 |
| 28.98 | 36 |
| 30.45 | 100 |
| 33.17 | 62 |
| 36.68 | 45 |
| 49.73 | 28 |
| 50.45 | 26 |
| 58.59 | 29 |

=====

# 6
Simulated PXRD pattern of CaPm2Y3 for Cu Kα X-rays, from a DFT-relaxed cell (PBE, Alexandria).

Structural model:
Cell: 6.7622 6.7622 10.9130 Å, 90.00 90.00 120.00°
Fractional coordinates of all 12 atoms:
Ca1 0.3333 0.6667 0.4359
Ca2 0.6667 0.3333 0.5641
Pm1 0.0000 0.0000 0.0000
Pm2 0.0000 0.0000 0.5000
Pm3 0.3333 0.6667 0.0723
Pm4 0.6667 0.3333 0.9277
Y1 0.1690 0.3379 0.7584
Y2 0.1690 0.8310 0.7584
Y3 0.3379 0.1690 0.2416
Y4 0.6621 0.8310 0.7584
Y5 0.8310 0.1690 0.2416
Y6 0.8310 0.6621 0.2416

The 8 most intense peaks (10° ≤ 2θ ≤ 90°), sorted by position:
| two_theta | I_rel |
| --- | --- |
| 26.36 | 36 |
| 28.89 | 55 |
| 31.12 | 100 |
| 31.64 | 73 |
| 34.77 | 34 |
| 36.33 | 28 |
| 49.60 | 27 |
| 54.26 | 29 |